Diffraction record for Sm2Ta2Si2C. The powder diffractogram is calculated, not measured: it uses a DFT-relaxed cell (PBE, Alexandria) and Cu Kα (λ = 1.5418 Å).
Kinematic intensities with the Lorentz-polarization factor, no thermal factor.

Crystal structure
```
7
Lattice="-2.1254 2.1254 7.6730 2.1254 -2.1254 7.6730 2.1254 2.1254 -7.6730" Properties=species:S:1:pos:R:3 pbc="T T T"
Sm 0.0000 0.0000 2.5856
Sm 0.0000 0.0000 12.7604
Ta 2.1254 0.0000 0.0000
Ta 0.0000 2.1254 0.0000
Si 0.0000 0.0000 5.8223
Si 0.0000 0.0000 9.5237
C 0.0000 0.0000 0.0000
```

Peak list (6 most intense, 10 to 80 degrees two-theta, sorted by position)
11.53°, d 7.673, I 514
27.28°, d 3.269, I 378
31.98°, d 2.799, I 1000
38.03°, d 2.366, I 741
42.53°, d 2.125, I 483
56.28°, d 1.635, I 351